# AcW2O8
Calculated powder X-ray diffraction pattern, λ = 1.5418 Å (Cu Kα). Input: a cell relaxed with GGA+U.
Lines closer than 0.1° are merged.

Peak list (10 most intense, 2θ from 15° to 90°, in order of rising 2θ)
(hkl)  2theta  I_rel
1 0 1  19.6  39
1 0 3  28.6  16
0 0 4  29.3  18
1 1 2  29.8  100
2 0 0  36.9  17
2 0 4  47.8  37
1 1 6  52.3  21
2 2 0  53.2  14
3 1 2  62.2  26
3 1 6  77.8  14

Structural model:
a b c (Å): 4.871 4.871 12.180
angles (deg): 90.00 90.00 90.00
Space group I4/mmm (No. 139)
Symmetry-distinct sites (fractional):
Ac 0.000 0.000 0.000 (multiplicity 2)
W 0.000 0.500 0.250 (multiplicity 4)
O 0.249 0.249 0.346 (multiplicity 16)